The following is a calculated XRD peak list of Lu2PtPb. It was derived from the PBE geometry in Alexandria, using copper Kα.

Structural model:
a = 3.4541 Å, b = 3.4541 Å, c = 8.0530 Å
α = 90.00°, β = 90.00°, γ = 90.00°
Space group P4/mmm (No. 123)
Unique sites:
Lu: 0.0000 0.0000 0.2045 x2
Pt: 0.5000 0.5000 0.0000 x1
Pb: 0.5000 0.5000 0.5000 x1

Most intense lines, 5° ≤ 2θ ≤ 70°, by intensity:
| 2θ/deg | intensity | h k l |
| --- | --- | --- |
| 34.20 | 100 | 1 0 2 |
| 36.80 | 48 | 1 1 0 |
| 64.62 | 33 | 2 1 2 |
| 53.02 | 17 | 2 0 0 |
| 59.50 | 13 | 1 1 4 |
| 45.03 | 7 | 0 0 4 |
| 42.66 | 7 | 1 0 3 |
| 10.99 | 6 | 0 0 1 |
| 50.52 | 5 | 1 1 3 |
| 63.76 | 5 | 1 0 5 |